[1]
# ZnHg2Sb
Calculated powder XRD pattern, a wavelength of 1.5418 Å. Input: DFT lattice parameters and positions (GGA-PBE).

Atomic structure:
```
ZnHg2Sb
1.0
0.0000 3.2509 5.1543
2.9428 0.0000 5.1543
2.9428 3.2509 0.0000
Zn Hg Sb
1 2 1
direct
0.0000 0.0000 0.0000
0.0000 0.5000 0.5000
0.5000 0.0000 0.0000
0.5000 0.5000 0.5000
```

Principal peaks in the range 5° ≤ 2θ ≤ 70°, low angle first:
2θ/deg, Rel. int.
17.20, 266
30.37, 599
32.56, 1000
34.81, 419
45.13, 816
46.86, 366
61.00, 166
65.62, 133
68.21, 119
69.66, 224



[2]
# PrErCd6
Calculated powder XRD pattern, a wavelength of 1.5418 Å. Input: DFT lattice parameters and positions (GGA-PBE).

Atomic structure:
```
PrErCd6
1.0
4.9164 0.0000 0.0000
0.0000 3.6151 5.5220
0.0000 -3.6151 5.5220
Pr Er Cd
1 1 6
direct
0.0000 0.0000 0.0000
0.5000 0.7255 0.7255
0.0000 0.0508 0.4863
0.0000 0.4863 0.0508
0.0000 0.5396 0.5396
0.5000 0.1943 0.1943
0.5000 0.2440 0.6681
0.5000 0.6681 0.2440
```

Principal peaks in the range 5° ≤ 2θ ≤ 70°, low angle first:
2θ/deg, Rel. int.
29.53, 114
32.43, 194
32.82, 125
34.83, 1000
36.55, 283
37.35, 214
49.66, 115
56.07, 88
64.69, 158
68.81, 93



[3]
# YPuBeN3
Calculated powder XRD pattern, a wavelength of 1.5418 Å. Input: DFT lattice parameters and positions (GGA-PBE).

Atomic structure:
```
YPuBeN3
1.0
6.8018 0.0000 0.0000
0.0000 3.2883 0.0000
-1.0125 0.0000 6.9598
Y Pu Be N
2 2 2 6
direct
0.2062 0.2500 0.1647
0.7938 0.7500 0.8353
0.1867 0.2500 0.6538
0.8133 0.7500 0.3462
0.4072 0.7500 0.9227
0.5928 0.2500 0.0773
0.1442 0.7500 0.4100
0.1529 0.7500 0.8823
0.4995 0.2500 0.8394
0.5005 0.7500 0.1606
0.8471 0.2500 0.1177
0.8558 0.2500 0.5900
```

Principal peaks in the range 5° ≤ 2θ ≤ 70°, low angle first:
2θ/deg, Rel. int.
13.15, 568
16.96, 640
26.48, 495
27.10, 406
30.25, 1000
30.57, 535
34.30, 334
37.63, 736
38.71, 439
48.87, 361



[4]
# Ta4Nb2Re
Calculated powder XRD pattern, a wavelength of 1.5418 Å. Input: DFT lattice parameters and positions (GGA-PBE).

Atomic structure:
```
Ta4Nb2Re
1.0
2.7956 0.0000 0.0000
-0.9216 7.1826 0.0000
-0.7922 -3.6079 6.2723
Ta Nb Re
4 2 1
direct
0.0914 0.0778 0.3587
0.2448 0.6429 0.2195
0.7552 0.3571 0.7805
0.9086 0.9222 0.6413
0.4745 0.2167 0.0728
0.5255 0.7833 0.9272
0.5000 0.5000 0.5000
```

Principal peaks in the range 5° ≤ 2θ ≤ 70°, low angle first:
2θ/deg, Rel. int.
14.13, 300
36.48, 305
37.96, 1000
38.15, 973
38.25, 989
38.56, 376
38.75, 247
39.27, 695
43.90, 201
68.81, 242



[5]
# Cs2PH4Se3O2
Calculated powder XRD pattern, a wavelength of 1.5418 Å. Input: DFT lattice parameters and positions (GGA-PBE).

Atomic structure:
```
Cs2PH4Se3O2
1.0
10.2910 0.0000 0.0000
0.0000 12.9012 0.0000
0.0000 0.0000 8.0353
Cs P H Se O
8 4 16 12 8
direct
0.0000 0.0000 0.0000
0.0000 0.0000 0.5000
0.1101 0.3344 0.0000
0.3899 0.8344 0.5000
0.5000 0.5000 0.0000
0.5000 0.5000 0.5000
0.6101 0.1656 0.5000
0.8899 0.6656 0.0000
0.1122 0.4938 0.5000
0.3878 0.9938 0.0000
0.6122 0.0062 0.0000
0.8878 0.5062 0.5000
0.0916 0.7529 0.2962
0.0916 0.7529 0.7038
0.1746 0.8260 0.1849
0.1746 0.8260 0.8151
0.3254 0.3260 0.3151
0.3254 0.3260 0.6849
0.4084 0.2529 0.2038
0.4084 0.2529 0.7962
0.5916 0.7471 0.2038
0.5916 0.7471 0.7962
0.6746 0.6740 0.3151
0.6746 0.6740 0.6849
0.8254 0.1740 0.1849
0.8254 0.1740 0.8151
0.9084 0.2471 0.2962
0.9084 0.2471 0.7038
0.1499 0.3248 0.5000
0.1825 0.5710 0.2724
0.1825 0.5710 0.7276
0.3175 0.0710 0.2276
0.3175 0.0710 0.7724
0.3501 0.8248 0.0000
0.6499 0.1752 0.0000
0.6825 0.9290 0.2276
0.6825 0.9290 0.7724
0.8175 0.4290 0.2724
0.8175 0.4290 0.7276
0.8501 0.6752 0.5000
0.0953 0.8253 0.2560
0.0953 0.8253 0.7440
0.4047 0.3253 0.2440
0.4047 0.3253 0.7560
0.5953 0.6747 0.2440
0.5953 0.6747 0.7560
0.9047 0.1747 0.2560
0.9047 0.1747 0.7440
```

Principal peaks in the range 5° ≤ 2θ ≤ 70°, low angle first:
2θ/deg, Rel. int.
22.41, 360
26.89, 651
27.55, 484
28.18, 242
29.03, 1000
31.47, 317
31.69, 623
45.12, 237
47.99, 245
50.31, 246



[6]
# Cr2HgW
Calculated powder XRD pattern, a wavelength of 1.5418 Å. Input: DFT lattice parameters and positions (GGA-PBE).

Atomic structure:
```
Cr2HgW
1.0
3.1276 0.0000 0.0000
0.0000 3.1276 0.0000
0.0000 0.0000 6.4322
Cr Hg W
2 1 1
direct
0.0000 0.0000 0.2170
0.0000 0.0000 0.7830
0.5000 0.5000 0.5000
0.5000 0.5000 0.0000
```

Principal peaks in the range 5° ≤ 2θ ≤ 70°, low angle first:
2θ/deg, Rel. int.
27.74, 227
28.54, 396
40.22, 1000
40.80, 498
50.05, 195
57.29, 79
59.07, 165
65.24, 107
66.48, 87
66.89, 81